Record 1
# K3WF6
Calculated XRD peak list, CuKα. Input: a DFT-relaxed cell (PBE+U, the Materials Project).
Neutral-atom scattering factors, no anomalous dispersion.

Peak list (10 most intense, 15 to 90 degrees two-theta, sorted by position)
Position (°2θ)  I/Imax  hkl
16.63  71.6  1 1 1
19.22  53.5  2 0 0
27.32  100.0  2 2 0
32.15  33.1  3 1 1
39.02  45.8  4 0 0
43.85  24.2  4 2 0
48.28  39.2  4 2 2
56.36  27.6  4 4 0
63.74  18.8  6 2 0
77.33  20.8  6 4 2

```
data_K3WF6
_chemical_formula_sum 'K12 W4 F24'
_cell_length_a 9.2343
_cell_length_b 9.2343
_cell_length_c 9.2343
_cell_angle_alpha 90.00
_cell_angle_beta 90.00
_cell_angle_gamma 90.00
_space_group_name_H-M_alt 'F m -3 m'
_space_group_IT_number 225
_space_group_name_Hall '-F 4 2 3'
loop_
_atom_site_label
_atom_site_type_symbol
_atom_site_fract_x
_atom_site_fract_y
_atom_site_fract_z
K1 K 0.0000 0.0000 0.0000
K2 K 0.2500 0.2500 0.2500
W1 W 0.0000 0.0000 0.5000
F1 F 0.0000 0.0000 0.2714
```


Record 2
# Sr5La3Mn8O20F4
Calculated XRD peak list, CuKα. Input: a DFT-relaxed cell (PBE+U, the Materials Project).
Neutral-atom scattering factors, no anomalous dispersion.

Peak list (10 most intense, 15 to 90 degrees two-theta, sorted by position)
Position (°2θ)  I/Imax  hkl
31.45  32.0  0 2 0
31.80  32.6  2 0 0
32.03  33.8  1 1 4
32.11  100.0  1 1 -4
39.23  15.1  0 2 4
45.25  24.2  2 2 0
45.41  23.8  2 -2 0
46.70  20.4  0 0 8
56.43  22.1  1 3 -4
57.61  13.2  2 0 -8

```
data_Sr5La3Mn8O20F4
_chemical_formula_sum 'Sr5 La3 Mn8 O20 F4'
_cell_length_a 5.6286
_cell_length_b 5.6895
_cell_length_c 15.5593
_cell_angle_alpha 89.89
_cell_angle_beta 89.93
_cell_angle_gamma 89.82
_space_group_name_H-M_alt 'P 1'
_space_group_IT_number 1
_space_group_name_Hall 'P 1'
loop_
_atom_site_label
_atom_site_type_symbol
_atom_site_fract_x
_atom_site_fract_y
_atom_site_fract_z
Sr1 Sr 0.0000 0.0000 0.0000
Sr2 Sr 0.0014 0.9935 0.2576
Sr3 Sr 0.5068 0.4991 0.7557
Sr4 Sr 0.5106 0.4980 0.2561
Sr5 Sr 0.9879 0.9986 0.5047
La1 La 0.0294 0.0005 0.7610
La2 La 0.4765 0.5009 0.9959
La3 La 0.5012 0.5030 0.5022
Mn1 Mn 0.0024 0.5002 0.1300
Mn2 Mn 0.0108 0.4881 0.6280
Mn3 Mn 0.4892 0.0135 0.6283
Mn4 Mn 0.5042 0.9982 0.1300
Mn5 Mn 0.5048 0.0019 0.8793
Mn6 Mn 0.5118 0.9854 0.3776
Mn7 Mn 0.9885 0.5107 0.3776
Mn8 Mn 0.9992 0.5017 0.8789
O1 O 0.0265 0.5608 0.0048
O2 O 0.2433 0.2444 0.8915
O3 O 0.2486 0.7546 0.6462
O4 O 0.2497 0.2514 0.6088
O5 O 0.2600 0.7458 0.8634
O6 O 0.2630 0.7325 0.3675
O7 O 0.2647 0.2609 0.1112
O8 O 0.4919 0.0578 0.7534
O9 O 0.4916 0.9268 0.0050
O10 O 0.5018 0.0574 0.2544
O11 O 0.5120 0.9255 0.5053
O12 O 0.7278 0.2669 0.3966
O13 O 0.7344 0.2675 0.8981
O14 O 0.7356 0.2650 0.6113
O15 O 0.7520 0.7499 0.1417
O16 O 0.7587 0.7559 0.3666
O17 O 0.7697 0.7681 0.8621
O18 O 0.9947 0.4346 0.2539
O19 O 0.9978 0.4268 0.7534
O20 O 0.9985 0.5562 0.5049
F1 F 0.2392 0.2375 0.3992
F2 F 0.2511 0.7512 0.1525
F3 F 0.7486 0.2553 0.1023
F4 F 0.7610 0.7613 0.6494
```


Record 3
# Sr3La2Mn6O12F6
Calculated XRD peak list, CuKα. Input: a DFT-relaxed cell (PBE+U, the Materials Project).
Neutral-atom scattering factors, no anomalous dispersion.

Peak list (10 most intense, 15 to 90 degrees two-theta, sorted by position)
Position (°2θ)  I/Imax  hkl
19.21  24.2  0 1 -3
30.76  100.0  2 0 0
31.63  51.8  1 1 6
31.74  53.3  1 1 -6
32.42  89.9  1 -1 6
38.97  29.0  0 2 -6
42.92  41.3  2 2 0
45.15  37.2  2 -2 0
47.81  29.1  0 0 12
56.19  26.0  3 -1 6

```
data_Sr3La2Mn6O12F6
_chemical_formula_sum 'Sr6 La4 Mn12 O24 F12'
_cell_length_a 5.8163
_cell_length_b 5.8259
_cell_length_c 22.8289
_cell_angle_alpha 89.85
_cell_angle_beta 89.89
_cell_angle_gamma 87.24
_space_group_name_H-M_alt 'P 1'
_space_group_IT_number 1
_space_group_name_Hall 'P 1'
loop_
_atom_site_label
_atom_site_type_symbol
_atom_site_fract_x
_atom_site_fract_y
_atom_site_fract_z
Sr1 Sr 0.0000 0.0000 0.0000
Sr2 Sr 0.0011 0.0061 0.3337
Sr3 Sr 0.5049 0.4768 0.9937
Sr4 Sr 0.5069 0.4903 0.6528
Sr5 Sr 0.5082 0.4885 0.3258
Sr6 Sr 0.9889 0.0317 0.6475
La1 La 0.4746 0.5362 0.4920
La2 La 0.4750 0.5417 0.1571
La3 La 0.5008 0.5389 0.8284
La4 La 0.9991 0.0537 0.8297
Mn1 Mn 0.4873 0.0330 0.7404
Mn2 Mn 0.4918 0.0065 0.5712
Mn3 Mn 0.4998 0.0416 0.0793
Mn4 Mn 0.5020 0.0413 0.4104
Mn5 Mn 0.5053 0.0215 0.9099
Mn6 Mn 0.5129 0.9937 0.2408
Mn7 Mn 0.9773 0.5152 0.2413
Mn8 Mn 0.9858 0.5051 0.9107
Mn9 Mn 0.9882 0.4762 0.0795
Mn10 Mn 0.9892 0.4744 0.4108
Mn11 Mn 0.9923 0.5048 0.5711
Mn12 Mn 0.9950 0.4836 0.7401
O1 O 0.0637 0.5357 0.4902
O2 O 0.0686 0.5255 0.1609
O3 O 0.0754 0.5129 0.8242
O4 O 0.1983 0.1944 0.7355
O5 O 0.2170 0.2258 0.9146
O6 O 0.2436 0.2597 0.0664
O7 O 0.2467 0.2504 0.3986
O8 O 0.2736 0.2869 0.5796
O9 O 0.4156 0.9650 0.8242
O10 O 0.4352 0.9677 0.1598
O11 O 0.4365 0.9601 0.4899
O12 O 0.5583 0.0310 0.6584
O13 O 0.5654 0.0313 0.9943
O14 O 0.5698 0.0324 0.3244
O15 O 0.6923 0.7061 0.2353
O16 O 0.6964 0.7095 0.5693
O17 O 0.7029 0.3021 0.0880
O18 O 0.7036 0.3148 0.4215
O19 O 0.7175 0.3026 0.7607
O20 O 0.7197 0.2905 0.8917
O21 O 0.7659 0.7867 0.8942
O22 O 0.9345 0.4851 0.6585
O23 O 0.9373 0.4784 0.3251
O24 O 0.9372 0.5153 0.9942
F1 F 0.2314 0.7615 0.2616
F2 F 0.2334 0.7627 0.5929
F3 F 0.2591 0.2722 0.2512
F4 F 0.2711 0.7324 0.9229
F5 F 0.2716 0.7316 0.3940
F6 F 0.2760 0.7010 0.7286
F7 F 0.2782 0.7433 0.0626
F8 F 0.7222 0.2649 0.2247
F9 F 0.7485 0.7676 0.0846
F10 F 0.7550 0.2412 0.5618
F11 F 0.7594 0.7858 0.4134
F12 F 0.7696 0.7996 0.7547
```


Record 4
# LiMnF3
Calculated XRD peak list, CuKα. Input: a DFT-relaxed cell (PBE+U, the Materials Project).
Neutral-atom scattering factors, no anomalous dispersion.

Peak list (10 most intense, 15 to 90 degrees two-theta, sorted by position)
Position (°2θ)  I/Imax  hkl
17.35  75.1  0 2 0
25.01  100.0  1 1 0
25.68  15.0  0 0 2
29.19  26.5  0 3 1
31.16  43.0  0 2 2
35.36  13.2  1 3 0
43.53  23.7  1 3 -2
44.92  17.4  1 3 2
47.89  24.1  2 0 0
57.10  18.1  1 5 -2

```
data_LiMnF3
_chemical_formula_sum 'Li4 Mn4 F12'
_cell_length_a 3.8031
_cell_length_b 10.2250
_cell_length_c 6.9453
_cell_angle_alpha 90.00
_cell_angle_beta 92.68
_cell_angle_gamma 90.00
_space_group_name_H-M_alt 'P 1 21/c 1'
_space_group_IT_number 14
_space_group_name_Hall '-P 2ybc'
loop_
_atom_site_label
_atom_site_type_symbol
_atom_site_fract_x
_atom_site_fract_y
_atom_site_fract_z
Li1 Li 0.2279 0.0446 0.2082
Mn1 Mn 0.2518 0.7207 0.0199
F1 F 0.2104 0.6353 0.7372
F2 F 0.2468 0.1441 0.4436
F3 F 0.2809 0.6080 0.3417
```